For Sr2AlFeCu2O7, a crystal structure in the Materials Project, relaxed with PBE+U gives the theoretical PXRD pattern in this record (a wavelength of 1.5418 Å).
Intensities are scaled so that the largest is 100.

Crystal structure
a = 23.8078 Å, b = 5.3093 Å, c = 5.4075 Å
α = 90.00°, β = 103.09°, γ = 90.00°
Space group C2 (No. 5)
Unique sites:
Sr 0.1491 0.0000 0.1388 (multiplicity 4)
Sr 0.1491 0.4995 0.6678 (multiplicity 4)
Al 0.0000 0.0036 0.0000 (multiplicity 2)
Al 0.0000 0.4993 0.5000 (multiplicity 2)
Fe 0.2502 0.0409 0.6872 (multiplicity 4)
Cu 0.0585 0.4982 0.0620 (multiplicity 4)
Cu 0.0587 0.9963 0.5577 (multiplicity 4)
O 0.0526 0.3156 0.7356 (multiplicity 4)
O 0.0537 0.8173 0.8764 (multiplicity 4)
O 0.0550 0.1731 0.2321 (multiplicity 4)
O 0.0559 0.6700 0.3822 (multiplicity 4)
O 0.1732 0.4772 0.1433 (multiplicity 4)
O 0.1730 0.9788 0.7091 (multiplicity 4)
O 0.2498 0.4072 0.6473 (multiplicity 4)

The 8 most intense peaks (2θ = 10–80°), by angle:
d/Å, intensity, (hkl)
3.171, 39, 5 1 -1
2.705, 100, 2 0 -2
2.655, 37, 0 2 0
2.319, 27, 10 0 0
2.302, 27, 9 1 -1
1.894, 31, 2 2 -2
1.542, 14, 5 3 1
1.467, 15, 12 2 -2

=====

For Mn4AlCu3O12, a crystal structure in the Materials Project, relaxed with PBE+U gives the theoretical PXRD pattern in this record (a wavelength of 1.5418 Å).
Intensities are scaled so that the largest is 100.

Crystal structure
a = 7.2965 Å, b = 7.2965 Å, c = 7.2965 Å
α = 90.00°, β = 90.00°, γ = 90.00°
Space group Im-3 (No. 204)
Unique sites:
Mn 0.2500 0.2500 0.2500 (multiplicity 8)
Al 0.0000 0.0000 0.0000 (multiplicity 2)
Cu 0.0000 0.0000 0.5000 (multiplicity 6)
O 0.0000 0.2934 0.1710 (multiplicity 24)

The 8 most intense peaks (2θ = 10–80°), by angle:
d/Å, intensity, (hkl)
5.159, 4, 1 1 0
2.979, 9, 2 1 1
2.580, 100, 2 2 0
2.307, 6, 3 1 0
1.950, 4, 3 2 1
1.824, 29, 4 0 0
1.489, 49, 4 2 2
1.290, 12, 4 4 0

=====

For AlCu3Ni4O12, a crystal structure in the Materials Project, relaxed with PBE+U gives the theoretical PXRD pattern in this record (a wavelength of 1.5418 Å).
Intensities are scaled so that the largest is 100.

Crystal structure
a = 10.0851 Å, b = 7.1865 Å, c = 7.1672 Å
α = 90.00°, β = 134.59°, γ = 90.00°
Space group C2/m (No. 12)
Unique sites:
Al 0.0000 0.0000 0.0000 (multiplicity 2)
Cu 0.0000 0.0000 0.5000 (multiplicity 2)
Cu 0.0000 0.5000 0.0000 (multiplicity 2)
Cu 0.0000 0.5000 0.5000 (multiplicity 2)
Ni 0.2500 0.2500 0.0000 (multiplicity 4)
Ni 0.2500 0.2500 0.5000 (multiplicity 4)
O 0.0019 0.1652 0.7021 (multiplicity 8)
O 0.1660 0.3014 0.1634 (multiplicity 8)
O 0.1904 0.5000 0.5156 (multiplicity 4)
O 0.2084 0.5000 0.8658 (multiplicity 4)

The 8 most intense peaks (2θ = 10–80°), by angle:
d/Å, intensity, (hkl)
2.552, 26, 0 0 2
2.539, 100, 2 2 0
2.521, 24, 4 0 -2
1.796, 26, 4 0 0
1.792, 13, 4 0 -4
1.471, 24, 2 2 2
1.469, 12, 0 4 2
1.459, 24, 6 2 -4

=====

For AlCu3W4O12, a crystal structure in the Materials Project, relaxed with PBE+U gives the theoretical PXRD pattern in this record (a wavelength of 1.5418 Å).
Intensities are scaled so that the largest is 100.

Crystal structure
a = 6.6141 Å, b = 6.7018 Å, c = 6.7039 Å
α = 109.58°, β = 108.64°, γ = 109.21°
Space group P-1 (No. 2)
Unique sites:
Al 0.0000 0.0000 0.0000 (multiplicity 1)
Cu 0.0000 0.5000 0.5000 (multiplicity 1)
Cu 0.5000 0.0000 0.5000 (multiplicity 1)
Cu 0.5000 0.5000 0.0000 (multiplicity 1)
W 0.0000 0.0000 0.5000 (multiplicity 1)
W 0.0000 0.5000 0.0000 (multiplicity 1)
W 0.5000 0.0000 0.0000 (multiplicity 1)
W 0.5000 0.5000 0.5000 (multiplicity 1)
O 0.1098 0.2862 0.8082 (multiplicity 2)
O 0.1781 0.4853 0.3019 (multiplicity 2)
O 0.1873 0.8860 0.7005 (multiplicity 2)
O 0.2903 0.7952 0.1010 (multiplicity 2)
O 0.3071 0.1750 0.4814 (multiplicity 2)
O 0.4934 0.3199 0.1975 (multiplicity 2)

The 8 most intense peaks (2θ = 10–80°), by angle:
d/Å, intensity, (hkl)
3.883, 41, 1 -1 1
3.860, 81, -1 1 1
2.765, 51, 0 0 2
2.755, 51, 0 2 0
2.736, 100, 2 0 0
2.713, 49, 2 -2 0
2.704, 48, 2 0 -2
1.930, 48, 2 2 -2

=====

For EuAlInWO6, a crystal structure in the Materials Project, relaxed with PBE+U gives the theoretical PXRD pattern in this record (a wavelength of 1.5418 Å).
Intensities are scaled so that the largest is 100.

Crystal structure
a = 8.8680 Å, b = 10.1135 Å, c = 10.1624 Å
α = 90.00°, β = 90.00°, γ = 90.00°
Space group Pnnn (No. 48, origin choice 2)
Unique sites:
Eu 0.2500 0.2500 0.2500 (multiplicity 2)
Eu 0.2500 0.7500 0.2500 (multiplicity 2)
Al 0.0000 0.0000 0.0000 (multiplicity 4)
In 0.2500 0.2500 0.7500 (multiplicity 2)
In 0.2500 0.7500 0.7500 (multiplicity 2)
W 0.0000 0.0000 0.5000 (multiplicity 4)
O 0.0322 0.2321 0.5495 (multiplicity 8)
O 0.0681 0.0456 0.2685 (multiplicity 8)
O 0.2104 0.5191 0.0166 (multiplicity 8)

The 8 most intense peaks (2θ = 10–80°), by angle:
d/Å, intensity, (hkl)
5.575, 49, 1 1 1
3.584, 63, 0 2 2
3.338, 100, 2 0 2
2.541, 18, 0 0 4
2.528, 18, 0 4 0
2.021, 27, 2 2 4
2.016, 27, 2 4 2
1.885, 23, 4 2 2

=====

For AlFeF5, a crystal structure in the Materials Project, relaxed with PBE+U gives the theoretical PXRD pattern in this record (a wavelength of 1.5418 Å).
Intensities are scaled so that the largest is 100.

Crystal structure
a = 3.6081 Å, b = 6.3166 Å, c = 7.5743 Å
α = 90.00°, β = 90.00°, γ = 90.00°
Space group Immm (No. 71)
Unique sites:
Al 0.0000 0.0000 0.0000 (multiplicity 2)
Fe 0.0000 0.0000 0.5000 (multiplicity 2)
F 0.0000 0.0000 0.2389 (multiplicity 4)
F 0.0000 0.2920 0.0000 (multiplicity 4)
F 0.0000 0.5000 0.5000 (multiplicity 2)

The 8 most intense peaks (2θ = 10–80°), by angle:
d/Å, intensity, (hkl)
3.787, 100, 0 0 2
3.158, 68, 0 2 0
3.133, 97, 1 1 0
2.267, 56, 1 2 1
1.894, 36, 0 0 4
1.819, 34, 1 3 0
1.804, 31, 2 0 0
1.730, 26, 1 2 3